[1]
Calculated powder XRD pattern
Compound: CaHo4Ni4
Radiation: copper Kα
Structure: a DFT-relaxed cell (GGA-PBE, Alexandria)

Most intense lines, 15 to 90 degrees two-theta, by angle:
28.08°, d = 3.177 Å, intensity 50.0
32.30°, d = 2.772 Å, intensity 100.0
34.61°, d = 2.591 Å, intensity 60.8
45.64°, d = 1.988 Å, intensity 32.9
46.33°, d = 1.960 Å, intensity 34.9
50.41°, d = 1.810 Å, intensity 25.4

Structural model:
```
CaHo4Ni4
1.0
8.7648 0.0000 0.0000
0.0000 8.7648 0.0000
0.0000 0.0000 5.4254
Ca Ho Ni
2 8 8
Cartesian
2.1912 2.1912 1.3564
6.5736 6.5736 4.0691
0.6817 5.7619 0.8013
1.3795 8.0831 3.5140
3.0029 5.0641 3.5140
3.7007 7.3853 0.8013
5.0641 1.3795 4.6241
5.7619 3.7007 1.9114
7.3853 0.6817 1.9114
8.0831 3.0029 4.6241
0.3394 5.3344 3.4759
0.9520 8.4254 0.7632
3.4304 4.7218 0.7632
4.0430 7.8128 3.4759
4.7218 0.9520 1.9495
5.3344 4.0430 4.6622
7.8128 0.3394 4.6622
8.4254 3.4304 1.9495
```


[2]
Calculated powder XRD pattern
Compound: Ba2AlIn4Ag3
Radiation: copper Kα
Structure: a DFT-relaxed cell (GGA-PBE, Alexandria)

Most intense lines, 15 to 90 degrees two-theta, by angle:
29.15°, d = 3.064 Å, intensity 72.1
30.31°, d = 2.949 Å, intensity 100.0
37.51°, d = 2.398 Å, intensity 73.2
40.23°, d = 2.241 Å, intensity 31.5
42.26°, d = 2.139 Å, intensity 37.0
48.19°, d = 1.888 Å, intensity 35.0

Structural model:
```
Ba2AlIn4Ag3
1.0
4.7957 0.0000 0.0000
0.0000 4.7957 0.0000
0.0000 0.0000 11.9479
Ba Al In Ag
2 1 4 3
Cartesian
0.0000 2.3978 2.9437
2.3978 0.0000 9.0042
2.3978 2.3978 0.0000
0.0000 0.0000 5.9739
0.0000 2.3978 10.4042
2.3978 0.0000 1.5437
2.3978 2.3978 5.9739
0.0000 0.0000 0.0000
0.0000 2.3978 7.5892
2.3978 0.0000 4.3587
```


[3]
Calculated powder XRD pattern
Compound: Dy6ErPd2
Radiation: copper Kα
Structure: a DFT-relaxed cell (GGA-PBE, Alexandria)

Most intense lines, 15 to 90 degrees two-theta, by angle:
30.51°, d = 2.930 Å, intensity 49.5
32.18°, d = 2.782 Å, intensity 30.8
32.52°, d = 2.753 Å, intensity 100.0
34.02°, d = 2.635 Å, intensity 47.3
34.97°, d = 2.566 Å, intensity 52.5
38.47°, d = 2.340 Å, intensity 33.0

Structural model:
```
Dy6ErPd2
1.0
8.0226 -1.8395 0.0000
8.0226 1.8395 0.0000
-6.7876 0.0000 8.3451
Dy Er Pd
6 1 2
Cartesian
-0.7676 0.0000 1.5840
-1.4434 0.0000 7.4275
1.8964 0.0000 3.7177
7.3612 0.0000 4.6274
10.7010 0.0000 0.9176
10.0252 0.0000 6.7611
-3.3938 0.0000 4.1726
4.9236 0.0000 1.9745
4.3340 0.0000 6.3706
```